Diffraction record for Cs5Fe2O6. The powder X-ray diffraction pattern is simulated, not measured: it uses the PBE+U geometry in Alexandria and Cu Kα (λ = 1.5418 Å).
Intensities are scaled so that the largest is 1000.

Structure:
a = 6.8777 Å, b = 6.8777 Å, c = 15.3746 Å
α = 98.36°, β = 98.36°, γ = 67.64°
Element x y z (fractional)
Cs 0.1006 0.8994 0.7500
Cs 0.1746 0.7099 0.0048
Cs 0.2854 0.4078 0.2899
Cs 0.2901 0.8254 0.4952
Cs 0.4078 0.2854 0.7899
Cs 0.5922 0.7146 0.2101
Cs 0.7099 0.1746 0.5048
Cs 0.7146 0.5922 0.7101
Cs 0.8254 0.2901 0.9952
Cs 0.8994 0.1006 0.2500
Fe 0.1345 0.4127 0.5725
Fe 0.4127 0.1345 0.0725
Fe 0.5873 0.8655 0.9275
Fe 0.8655 0.5873 0.4275
O 0.0959 0.2301 0.6388
O 0.1107 0.3251 0.4466
O 0.2301 0.0959 0.1388
O 0.3251 0.1107 0.9466
O 0.3620 0.4789 0.6217
O 0.4789 0.3620 0.1217
O 0.5211 0.6380 0.8783
O 0.6380 0.5211 0.3783
O 0.6749 0.8893 0.0534
O 0.7699 0.9041 0.8612
O 0.8893 0.6749 0.5534
O 0.9041 0.7699 0.3612

Principal peaks in the range 2θ from 10° to 90°, by intensity:
2theta, I_rel
26.10, 1000
29.47, 817
28.03, 734
30.70, 622
23.52, 563
26.46, 450
29.29, 444
27.24, 380